Entry 1:
# MgNi2N2
Calculated powder diffractogram, Cu Kα, 1.54184 Å. Input: the GGA-PBE geometry in the Materials Project.
Lines closer than 0.1° are merged.

Main lines, by angle (10° ≤ 2θ ≤ 90°):
two_theta  Rel. int.
25.57  1000
30.96  290
34.70  331
36.48  593
43.60  967
52.54  376
64.51  175
70.59  414

Atomic structure:
Cell: 4.9215 4.9308 5.1703 Å, 90.00 90.00 90.00°
Space group C222 (No. 21)
Unique sites:
Mg  0.0000  0.0000  0.0000
Ni  0.0000  0.5000  0.2705
N  0.2500  0.2500  0.7515

Entry 2:
# RbCu2Br3
Calculated powder diffractogram, Cu Kα, 1.54184 Å. Input: the GGA-PBE geometry in the Materials Project.
Lines closer than 0.1° are merged.

Main lines, by angle (10° ≤ 2θ ≤ 90°):
two_theta  Rel. int.
10.96  298
22.02  148
22.28  194
27.88  1000
28.09  227
43.69  244
43.97  208
44.40  230

Atomic structure:
Cell: 10.3106 12.9814 5.2479 Å, 90.00 90.00 90.00°
Space group Cmcm (No. 63)
Unique sites:
Rb  0.0000  0.1916  0.2500
Cu  0.1666  0.5000  0.0000
Br  0.0000  0.3898  0.7500
Br  0.2127  0.1262  0.7500

Entry 3:
# TbCo9Si4
Calculated powder diffractogram, Cu Kα, 1.54184 Å. Input: the GGA-PBE geometry in the Materials Project.
Lines closer than 0.1° are merged.

Main lines, by angle (10° ≤ 2θ ≤ 90°):
two_theta  Rel. int.
35.51  218
36.54  214
36.88  173
39.29  245
40.24  1000
47.79  358
48.87  283
49.41  169

Atomic structure:
Cell: 7.7069 7.7069 11.4151 Å, 90.00 90.00 90.00°
Space group I4/mcm (No. 140)
Unique sites:
Tb  0.0000  0.0000  0.2500
Co  0.0000  0.5000  0.0000
Co  0.0706  0.1986  0.0000
Co  0.1312  0.3688  0.1807
Si  0.1684  0.3316  0.3783